Entry 1:
PmVBrO4: simulated X-ray powder pattern (Cu Kα), based on a PBE+U-relaxed structure.

Peak list (10 most intense, 2θ from 10° to 80°, in order of falling intensity)
2θ (°), I (rel.), index
27.40, 1000, 0 2 0
26.59, 978, 3 1 0
21.44, 492, 1 1 1
17.74, 331, 2 0 -1
29.28, 322, 1 1 -2
41.49, 266, 1 1 -3
26.38, 252, 0 0 2
31.93, 247, 3 1 1
33.98, 239, 3 1 -2
53.84, 197, 6 2 -1

Crystal structure
Unit cell a=12.0213 b=6.5102 c=6.9225 alpha=90.00 beta=102.55 gamma=90.00
Space group C2/m (No. 12)
Symmetry-distinct sites (fractional):
Pm1 0.2063 0.0000 0.3360 x4
V1 0.1326 0.0000 0.7577 x4
Br1 0.0213 0.5000 0.1702 x4
O1 0.0119 0.0000 0.2645 x4
O2 0.1771 0.2077 0.6244 x8
O3 0.2007 0.0000 0.0017 x4

Entry 2:
PmWBrO4: simulated X-ray powder pattern (Cu Kα), based on a PBE+U-relaxed structure.

Peak list (10 most intense, 2θ from 10° to 80°, in order of falling intensity)
2θ (°), I (rel.), index
23.74, 1000, 0 2 0
28.06, 499, 3 1 -1
33.37, 469, 3 1 -2
24.49, 452, 2 0 1
26.18, 307, 0 0 2
27.77, 306, 1 1 -2
28.53, 257, 3 1 0
35.63, 255, 0 2 2
34.37, 250, 2 2 1
13.01, 234, 0 0 1

Crystal structure
Unit cell a=10.7976 b=7.4948 c=7.1165 alpha=90.00 beta=106.95 gamma=90.00
Space group C2/m (No. 12)
Symmetry-distinct sites (fractional):
Pm1 0.2304 0.0000 0.1217 x4
W1 0.1353 0.5000 0.2645 x4
Br1 0.0118 0.0000 0.7550 x4
O1 0.0394 0.5000 0.8026 x4
O2 0.1964 0.3123 0.1519 x8
O3 0.2002 0.5000 0.5276 x4